Record 1
The following is a calculated X-ray diffraction stick pattern of Li2MoP4O13. It was derived from DFT lattice parameters and positions (GGA+U), using λ = 1.5418 Å (Cu Kα).

Main lines, low angle first (2θ from 5° to 70°):
6.783 Å, 13.05°, I = 100
4.969 Å, 17.85°, I = 20
3.689 Å, 24.13°, I = 30
3.406 Å, 26.16°, I = 23
3.380 Å, 26.37°, I = 12
2.774 Å, 32.27°, I = 13

Structural model:
```
Li2MoP4O13
1.0
5.3189 0.0000 0.0000
-1.3939 8.0974 0.0000
-1.1018 -1.2592 13.5659
Li Mo P O
4 2 8 26
Direct
0.0140 0.3404 0.0146
0.2398 0.4638 0.4927
0.7602 0.5362 0.5073
0.9860 0.6596 0.9854
0.3575 0.0754 0.7335
0.6425 0.9246 0.2665
0.1170 0.7474 0.3635
0.1683 0.0985 0.1598
0.1948 0.4384 0.8116
0.4749 0.6941 0.6875
0.5251 0.3059 0.3125
0.8052 0.5616 0.1884
0.8317 0.9015 0.8402
0.8830 0.2526 0.6365
0.0560 0.1201 0.6446
0.0607 0.6282 0.2593
0.0632 0.6402 0.4460
0.1077 0.9836 0.8274
0.1194 0.4828 0.9120
0.1891 0.1847 0.0682
0.2489 0.2379 0.2558
0.3152 0.6090 0.7713
0.3443 0.8385 0.6626
0.3465 0.9691 0.1738
0.3782 0.3162 0.8035
0.3988 0.8288 0.3640
0.4986 0.4279 0.3963
0.5014 0.5721 0.6037
0.6012 0.1712 0.6360
0.6218 0.6838 0.1965
0.6535 0.0309 0.8262
0.6557 0.1615 0.3374
0.6848 0.3910 0.2287
0.7511 0.7621 0.7442
0.8109 0.8153 0.9318
0.8806 0.5172 0.0880
0.8923 0.0164 0.1726
0.9368 0.3598 0.5540
0.9393 0.3718 0.7407
0.9440 0.8799 0.3554
```

Record 2
The following is a calculated X-ray diffraction stick pattern of Li3Fe8B8O24. It was derived from DFT lattice parameters and positions (GGA+U), using λ = 1.5418 Å (Cu Kα).

Main lines, low angle first (2θ from 5° to 70°):
4.583 Å, 19.37°, I = 39
4.549 Å, 19.51°, I = 62
4.161 Å, 21.35°, I = 100
3.410 Å, 26.14°, I = 29
3.389 Å, 26.29°, I = 53
2.520 Å, 35.62°, I = 73

Structural model:
```
Li3Fe8B8O24
1.0
5.2583 0.0000 0.0000
2.5977 4.5898 0.0000
0.0367 0.1888 20.1639
Li Fe B O
3 8 8 24
Direct
0.0000 0.0000 0.0000
0.0015 0.9979 0.4976
0.9741 0.9732 0.7502
0.0105 0.6243 0.6075
0.0115 0.6229 0.1079
0.3343 0.9687 0.3586
0.3403 0.3256 0.9814
0.3427 0.3257 0.4806
0.3493 0.9656 0.8579
0.6483 0.6332 0.7315
0.6609 0.6416 0.2341
0.0063 0.6305 0.8554
0.3291 0.3039 0.7323
0.3340 0.3001 0.2326
0.3433 0.9692 0.1063
0.3442 0.9679 0.6048
0.6691 0.6456 0.9825
0.6734 0.6450 0.4822
0.9985 0.6383 0.3564
0.0330 0.8765 0.3588
0.0533 0.8623 0.8479
0.0653 0.5195 0.2067
0.0774 0.5588 0.7097
0.1128 0.9201 0.5965
0.1189 0.9143 0.0958
0.2174 0.3684 0.3783
0.2225 0.3659 0.8800
0.2976 0.0660 0.7545
0.3130 0.2362 0.5865
0.3152 0.2338 0.0857
0.3442 0.0430 0.2550
0.4157 0.8972 0.9595
0.4211 0.8988 0.4593
0.5666 0.3432 0.2346
0.5931 0.2899 0.7339
0.6064 0.7583 0.1343
0.6085 0.7519 0.6298
0.6838 0.3823 0.9840
0.6848 0.3833 0.4830
0.7353 0.6600 0.3336
0.7377 0.6623 0.8367
0.9063 0.6769 0.0053
0.9121 0.6734 0.5045
```

Repeat the first record exactly.
The following is a calculated X-ray diffraction stick pattern of Li2MoP4O13. It was derived from DFT lattice parameters and positions (GGA+U), using λ = 1.5418 Å (Cu Kα).

Main lines, low angle first (2θ from 5° to 70°):
6.783 Å, 13.05°, I = 100
4.969 Å, 17.85°, I = 20
3.689 Å, 24.13°, I = 30
3.406 Å, 26.16°, I = 23
3.380 Å, 26.37°, I = 12
2.774 Å, 32.27°, I = 13

Structural model:
```
Li2MoP4O13
1.0
5.3189 0.0000 0.0000
-1.3939 8.0974 0.0000
-1.1018 -1.2592 13.5659
Li Mo P O
4 2 8 26
Direct
0.0140 0.3404 0.0146
0.2398 0.4638 0.4927
0.7602 0.5362 0.5073
0.9860 0.6596 0.9854
0.3575 0.0754 0.7335
0.6425 0.9246 0.2665
0.1170 0.7474 0.3635
0.1683 0.0985 0.1598
0.1948 0.4384 0.8116
0.4749 0.6941 0.6875
0.5251 0.3059 0.3125
0.8052 0.5616 0.1884
0.8317 0.9015 0.8402
0.8830 0.2526 0.6365
0.0560 0.1201 0.6446
0.0607 0.6282 0.2593
0.0632 0.6402 0.4460
0.1077 0.9836 0.8274
0.1194 0.4828 0.9120
0.1891 0.1847 0.0682
0.2489 0.2379 0.2558
0.3152 0.6090 0.7713
0.3443 0.8385 0.6626
0.3465 0.9691 0.1738
0.3782 0.3162 0.8035
0.3988 0.8288 0.3640
0.4986 0.4279 0.3963
0.5014 0.5721 0.6037
0.6012 0.1712 0.6360
0.6218 0.6838 0.1965
0.6535 0.0309 0.8262
0.6557 0.1615 0.3374
0.6848 0.3910 0.2287
0.7511 0.7621 0.7442
0.8109 0.8153 0.9318
0.8806 0.5172 0.0880
0.8923 0.0164 0.1726
0.9368 0.3598 0.5540
0.9393 0.3718 0.7407
0.9440 0.8799 0.3554
```